# NaBH8O7
Computed X-ray powder pattern, Cu Ka. Input: a cell relaxed with PBE.
Neutral-atom scattering factors, no anomalous dispersion.

Atomic structure:
Unit cell a=6.7323 b=7.0564 c=7.3880 alpha=69.70 beta=78.51 gamma=64.83
Space group P-1 (No. 2)
Asymmetric unit:
Na (0.0000, 0.0000, 0.0000)
Na (0.5000, 0.0000, 0.0000)
B (0.1876, 0.4861, 0.3635)
H (0.1654, 0.4128, 0.8403)
H (0.1678, 0.8667, 0.3489)
H (0.1717, 0.0980, 0.3220)
H (0.1820, 0.5211, 0.0779)
H (0.2531, 0.0793, 0.6696)
H (0.3778, 0.4711, 0.8003)
H (0.4076, 0.8285, 0.7427)
H (0.4824, 0.3279, 0.4883)
O (0.1015, 0.6020, 0.1749)
O (0.1150, 0.6341, 0.4891)
O (0.1278, 0.2883, 0.4675)
O (0.2083, 0.9871, 0.2550)
O (0.2958, 0.3921, 0.9001)
O (0.3134, 0.9576, 0.7875)
O (0.4302, 0.3963, 0.3578)

Principal peaks in the range 10° ≤ 2θ ≤ 90°, by intensity:
(hkl)	d (Å)	I (rel.)
0 2 2	2.722	100
0 1 1	5.443	98
0 2 0	3.051	64
1 0 2	3.088	53
2 1 2	2.699	51
1 0 1	4.711	44
0 3 0	2.034	44
1 1 1	5.198	43
1 0 0	6.086	42
2 2 0	2.752	39